Calculated powder X-ray diffraction pattern of MgTi3ZnNiO9 for CuKα, from DFT lattice parameters and positions (GGA+U).
Kinematic intensities with the Lorentz-polarization factor, no thermal factor.

Most intense lines, 10 to 90 degrees two-theta, by intensity:
two_theta	I (rel.)	(hkl)
32.55	100	1 0 4
35.19	66	1 1 0
53.07	50	2 -1 6
48.69	39	0 2 4
23.79	36	0 1 2
63.15	34	3 0 0

```
data_MgTi3ZnNiO9
_chemical_formula_sum 'Mg2 Ti6 Zn2 Ni2 O18'
_symmetry_space_group_name_H-M 'P 1'
_symmetry_Int_Tables_number 1
_cell_length_a 5.100
_cell_length_b 5.100
_cell_length_c 14.064
_cell_angle_alpha 90.00
_cell_angle_beta 90.00
_cell_angle_gamma 120.00
loop_
_symmetry_equiv_pos_as_xyz
'x,y,z'
loop_
_atom_site_label
_atom_site_type_symbol
_atom_site_fract_x
_atom_site_fract_y
_atom_site_fract_z
Mg1 Mg 0.000 0.000 0.000
Mg2 Mg 0.333 0.667 0.667
Ti1 Ti 0.000 0.000 0.209
Ti2 Ti 0.000 0.000 0.499
Ti3 Ti 0.333 0.667 0.163
Ti4 Ti 0.333 0.667 0.877
Ti5 Ti 0.667 0.333 0.543
Ti6 Ti 0.667 0.333 0.830
Zn1 Zn 0.333 0.667 0.379
Zn2 Zn 0.667 0.333 0.327
Ni1 Ni 0.000 0.000 0.705
Ni2 Ni 0.667 0.333 0.038
O1 O 0.017 0.648 0.774
O2 O 0.019 0.703 0.107
O3 O 0.038 0.350 0.266
O4 O 0.297 0.316 0.107
O5 O 0.312 0.962 0.266
O6 O 0.317 0.021 0.601
O7 O 0.350 0.312 0.442
O8 O 0.352 0.370 0.774
O9 O 0.372 0.017 0.934
O10 O 0.630 0.983 0.774
O11 O 0.645 0.628 0.934
O12 O 0.650 0.688 0.266
O13 O 0.684 0.981 0.107
O14 O 0.688 0.037 0.442
O15 O 0.704 0.683 0.601
O16 O 0.963 0.650 0.442
O17 O 0.979 0.296 0.601
O18 O 0.983 0.355 0.934
```

=====

Calculated powder X-ray diffraction pattern of Li3Al2FeO6 for CuKα, from DFT lattice parameters and positions (GGA+U).
Kinematic intensities with the Lorentz-polarization factor, no thermal factor.

Most intense lines, 10 to 90 degrees two-theta, by intensity:
two_theta	I (rel.)	(hkl)
30.51	100	1 1 -2
44.29	62	2 0 2
16.77	47	1 0 0
30.73	45	-1 1 2
54.45	44	2 0 -4
24.27	34	-1 1 1

```
data_Li3Al2FeO6
_chemical_formula_sum 'Li6 Al4 Fe2 O12'
_symmetry_space_group_name_H-M 'P 1'
_symmetry_Int_Tables_number 1
_cell_length_a 5.348
_cell_length_b 5.858
_cell_length_c 7.820
_cell_angle_alpha 90.78
_cell_angle_beta 98.56
_cell_angle_gamma 90.23
loop_
_symmetry_equiv_pos_as_xyz
'x,y,z'
loop_
_atom_site_label
_atom_site_type_symbol
_atom_site_fract_x
_atom_site_fract_y
_atom_site_fract_z
Li1 Li 0.002 0.335 0.244
Li2 Li 0.153 0.836 0.080
Li3 Li 0.324 0.657 0.406
Li4 Li 0.676 0.343 0.594
Li5 Li 0.847 0.164 0.920
Li6 Li 0.998 0.665 0.756
Al1 Al 0.158 0.172 0.578
Al2 Al 0.325 0.332 0.911
Al3 Al 0.675 0.668 0.089
Al4 Al 0.842 0.828 0.422
Fe1 Fe 0.495 0.169 0.253
Fe2 Fe 0.505 0.831 0.747
O1 O 0.032 0.328 0.745
O2 O 0.159 0.858 0.579
O3 O 0.192 0.178 0.074
O4 O 0.327 0.312 0.425
O5 O 0.355 0.646 0.919
O6 O 0.477 0.165 0.754
O7 O 0.523 0.835 0.246
O8 O 0.645 0.354 0.081
O9 O 0.673 0.688 0.575
O10 O 0.808 0.822 0.926
O11 O 0.841 0.142 0.421
O12 O 0.968 0.672 0.255
```

=====

Calculated powder X-ray diffraction pattern of Fe3NF9 for CuKα, from DFT lattice parameters and positions (GGA+U).
Kinematic intensities with the Lorentz-polarization factor, no thermal factor.

Most intense lines, 10 to 90 degrees two-theta, by intensity:
two_theta	I (rel.)	(hkl)
27.37	100	2 0 0
13.59	82	1 0 0
22.77	65	0 0 1
48.38	37	2 2 0
54.80	25	2 0 2
26.61	24	1 0 1

```
data_Fe3NF9
_chemical_formula_sum 'Fe3 N1 F9'
_symmetry_space_group_name_H-M 'P 1'
_symmetry_Int_Tables_number 1
_cell_length_a 7.526
_cell_length_b 7.526
_cell_length_c 3.906
_cell_angle_alpha 90.00
_cell_angle_beta 90.00
_cell_angle_gamma 120.00
loop_
_symmetry_equiv_pos_as_xyz
'x,y,z'
loop_
_atom_site_label
_atom_site_type_symbol
_atom_site_fract_x
_atom_site_fract_y
_atom_site_fract_z
Fe1 Fe 0.000 0.500 0.000
Fe2 Fe 0.500 0.000 0.000
Fe3 Fe 0.500 0.500 0.000
N1 N 0.000 0.000 0.500
F1 F 0.000 0.500 0.500
F2 F 0.209 0.418 0.000
F3 F 0.209 0.791 0.000
F4 F 0.418 0.209 0.000
F5 F 0.500 0.000 0.500
F6 F 0.500 0.500 0.500
F7 F 0.582 0.791 0.000
F8 F 0.791 0.209 0.000
F9 F 0.791 0.582 0.000
```